1.
# FeCo3
Calculated powder diffractogram, Cu Kα (weighted mean of Kα1 and Kα2). Input: a crystal structure in the Materials Project, relaxed with PBE.
Kinematic intensities with the Lorentz-polarization factor, no thermal factor.

a = 2.4660 Å, b = 2.4660 Å, c = 7.0635 Å
α = 90.00°, β = 90.00°, γ = 90.00°
Space group P4/mmm (No. 123)
One atom of each set of equivalent atoms:
Fe (0.0000, 0.0000, 0.0000) (multiplicity 1)
Co (0.0000, 0.0000, 0.5000) (multiplicity 1)
Co (0.5000, 0.5000, 0.2546) (multiplicity 2)

The 5 most intense peaks (15 to 90 degrees two-theta), by intensity:
| 2θ/deg | intensity | h k l |
| --- | --- | --- |
| 44.83 | 100 | 1 0 2 |
| 52.48 | 30 | 1 1 0 |
| 76.83 | 18 | 1 1 4 |
| 51.77 | 16 | 0 0 4 |
| 77.40 | 9 | 2 0 0 |


2.
# BaH4O6
Calculated powder diffractogram, Cu Kα (weighted mean of Kα1 and Kα2). Input: a crystal structure in the Materials Project, relaxed with PBE.
Kinematic intensities with the Lorentz-polarization factor, no thermal factor.

a = 8.5826 Å, b = 9.7662 Å, c = 6.4602 Å
α = 90.00°, β = 95.46°, γ = 90.00°
Space group C2 (No. 5)
One atom of each set of equivalent atoms:
Ba (0.0000, 0.0000, 0.0000) (multiplicity 2)
Ba (0.0000, 0.3355, 0.5000) (multiplicity 2)
H (0.1188, 0.6699, 0.2212) (multiplicity 4)
H (0.1420, 0.3854, 0.0466) (multiplicity 4)
H (0.2128, 0.9676, 0.5767) (multiplicity 4)
H (0.2427, 0.7457, 0.1098) (multiplicity 4)
O (0.0670, 0.2863, 0.9350) (multiplicity 4)
O (0.1576, 0.7630, 0.1994) (multiplicity 4)
O (0.1660, 0.1257, 0.3312) (multiplicity 4)
O (0.1909, 0.9099, 0.7034) (multiplicity 4)
O (0.1944, 0.4746, 0.1406) (multiplicity 4)
O (0.2172, 0.5385, 0.6077) (multiplicity 4)

The 6 most intense peaks (15 to 90 degrees two-theta), by intensity:
| 2θ/deg | intensity | h k l |
| --- | --- | --- |
| 20.22 | 100 | 1 1 1 |
| 18.80 | 87 | 1 1 -1 |
| 32.00 | 76 | 1 1 2 |
| 29.36 | 55 | 1 3 0 |
| 30.17 | 52 | 2 2 -1 |
| 34.45 | 40 | 3 1 -1 |


3.
# NdAsRuO
Calculated powder diffractogram, Cu Kα (weighted mean of Kα1 and Kα2). Input: a crystal structure in the Materials Project, relaxed with PBE.
Kinematic intensities with the Lorentz-polarization factor, no thermal factor.

a = 4.1346 Å, b = 4.1346 Å, c = 8.3253 Å
α = 90.00°, β = 90.00°, γ = 90.00°
Space group P4/nmm (No. 129, origin choice 2)
One atom of each set of equivalent atoms:
Nd (0.2500, 0.2500, 0.1369) (multiplicity 2)
As (0.2500, 0.2500, 0.6561) (multiplicity 2)
Ru (0.2500, 0.7500, 0.5000) (multiplicity 2)
O (0.2500, 0.7500, 0.0000) (multiplicity 2)

The 6 most intense peaks (15 to 90 degrees two-theta), by intensity:
| 2θ/deg | intensity | h k l |
| --- | --- | --- |
| 30.47 | 100 | 1 0 2 |
| 43.79 | 46 | 2 0 0 |
| 54.09 | 41 | 1 1 4 |
| 54.29 | 39 | 2 1 2 |
| 37.60 | 36 | 1 1 2 |
| 32.46 | 35 | 1 1 1 |


4.
# Ag3HSN3O2
Calculated powder diffractogram, Cu Kα (weighted mean of Kα1 and Kα2). Input: a crystal structure in the Materials Project, relaxed with PBE.
Kinematic intensities with the Lorentz-polarization factor, no thermal factor.

a = 9.0276 Å, b = 11.3752 Å, c = 7.1021 Å
α = 90.00°, β = 90.00°, γ = 90.00°
Space group Pbcm (No. 57)
One atom of each set of equivalent atoms:
Ag (0.0502, 0.1198, 0.0085) (multiplicity 8)
Ag (0.2766, 0.2487, 0.2500) (multiplicity 4)
H (0.1371, 0.7199, 0.2500) (multiplicity 4)
S (0.2376, 0.5439, 0.2500) (multiplicity 4)
N (0.0870, 0.6383, 0.2500) (multiplicity 4)
N (0.1610, 0.0852, 0.7500) (multiplicity 4)
N (0.3516, 0.0817, 0.2500) (multiplicity 4)
O (0.3144, 0.5666, 0.0746) (multiplicity 8)

The 6 most intense peaks (15 to 90 degrees two-theta), by intensity:
| 2θ/deg | intensity | h k l |
| --- | --- | --- |
| 32.07 | 100 | 2 0 2 |
| 33.03 | 95 | 1 4 0 |
| 26.98 | 71 | 1 0 2 |
| 40.07 | 65 | 3 1 2 |
| 37.37 | 61 | 2 4 0 |
| 40.65 | 57 | 0 4 2 |